This entry pairs a crystal structure of Mn21Ga2N6 with its theoretical powder X-ray diffraction pattern. Radiation: CuKα. Structure: a crystal structure in Alexandria, relaxed with GGA-PBE.
Neutral-atom scattering factors, no anomalous dispersion.

The 12 most intense peaks (10° ≤ 2θ ≤ 90°), low angle first:
- 38.45 deg, I 35
- 42.29 deg, I 33
- 44.99 deg, I 100
- 49.23 deg, I 24
- 51.65 deg, I 25
- 52.44 deg, I 10
- 58.48 deg, I 11
- 72.18 deg, I 6
- 74.78 deg, I 10
- 77.34 deg, I 24
- 79.24 deg, I 11
- 84.26 deg, I 7

Structural model:
```
Mn21Ga2N6
1.0
0.000 5.235 5.235
5.235 0.000 5.235
5.235 5.235 0.000
Mn Ga N
21 2 6
direct
0.000 0.000 0.000
0.000 0.000 0.331
0.000 0.000 0.669
0.000 0.331 0.000
0.000 0.331 0.669
0.000 0.669 0.000
0.000 0.669 0.331
0.158 0.614 0.614
0.331 0.000 0.000
0.331 0.000 0.669
0.331 0.669 0.000
0.386 0.386 0.386
0.386 0.386 0.842
0.386 0.842 0.386
0.614 0.158 0.614
0.614 0.614 0.158
0.614 0.614 0.614
0.669 0.000 0.000
0.669 0.000 0.331
0.669 0.331 0.000
0.842 0.386 0.386
0.250 0.250 0.250
0.750 0.750 0.750
0.272 0.272 0.728
0.272 0.728 0.272
0.272 0.728 0.728
0.728 0.272 0.272
0.728 0.272 0.728
0.728 0.728 0.272
```

This entry pairs a crystal structure of MnNb8Ga2 with its theoretical powder X-ray diffraction pattern. Radiation: CuKα. Structure: a crystal structure in Alexandria, relaxed with GGA-PBE.
Neutral-atom scattering factors, no anomalous dispersion.

The 12 most intense peaks (10° ≤ 2θ ≤ 90°), low angle first:
- 32.61 deg, I 14
- 37.11 deg, I 39
- 39.13 deg, I 91
- 39.32 deg, I 100
- 40.67 deg, I 16
- 41.54 deg, I 45
- 44.64 deg, I 10
- 57.73 deg, I 11
- 59.31 deg, I 10
- 71.07 deg, I 16
- 72.58 deg, I 9
- 73.39 deg, I 10

Structural model:
```
MnNb8Ga2
1.0
7.158 -2.301 0.000
7.158 2.301 0.000
-2.301 0.000 5.810
Mn Nb Ga
1 8 2
direct
0.000 0.000 0.000
0.110 0.110 0.404
0.151 0.151 0.904
0.331 0.331 0.811
0.487 0.487 0.262
0.513 0.513 0.738
0.669 0.669 0.189
0.849 0.849 0.096
0.890 0.890 0.596
0.306 0.306 0.331
0.694 0.694 0.669
```

This entry pairs a crystal structure of MnNb6Ga with its theoretical powder X-ray diffraction pattern. Radiation: CuKα. Structure: a crystal structure in Alexandria, relaxed with GGA-PBE.
Neutral-atom scattering factors, no anomalous dispersion.

The 12 most intense peaks (10° ≤ 2θ ≤ 90°), low angle first:
- 24.42 deg, I 5
- 34.81 deg, I 25
- 39.07 deg, I 100
- 42.98 deg, I 53
- 56.45 deg, I 1
- 62.41 deg, I 11
- 65.26 deg, I 21
- 68.06 deg, I 26
- 73.49 deg, I 12
- 83.96 deg, I 7
- 86.53 deg, I 19
- 89.09 deg, I 6

Structural model:
```
MnNb6Ga
1.0
5.155 0.000 0.000
0.000 5.155 0.000
0.000 0.000 5.155
Mn Nb Ga
1 6 1
direct
0.000 0.000 0.000
0.000 0.244 0.500
0.000 0.756 0.500
0.244 0.500 0.000
0.500 0.000 0.244
0.500 0.000 0.756
0.756 0.500 0.000
0.500 0.500 0.500
```

This entry pairs a crystal structure of MnGa6Ni with its theoretical powder X-ray diffraction pattern. Radiation: CuKα. Structure: a crystal structure in Alexandria, relaxed with GGA-PBE.
Neutral-atom scattering factors, no anomalous dispersion.

The 12 most intense peaks (10° ≤ 2θ ≤ 90°), low angle first:
- 28.03 deg, I 37
- 28.88 deg, I 44
- 35.54 deg, I 39
- 36.23 deg, I 24
- 39.47 deg, I 28
- 42.47 deg, I 86
- 43.61 deg, I 100
- 60.26 deg, I 33
- 64.30 deg, I 14
- 71.11 deg, I 19
- 74.06 deg, I 13
- 87.26 deg, I 16

Structural model:
```
MnGa6Ni
1.0
4.151 2.396 2.283
-4.151 2.396 2.283
0.000 -4.793 2.283
Mn Ga Ni
1 6 1
direct
0.000 0.000 0.000
0.209 0.209 0.653
0.209 0.653 0.209
0.347 0.791 0.791
0.653 0.209 0.209
0.791 0.347 0.791
0.791 0.791 0.347
0.500 0.500 0.500
```

Number 3 is which compound?
MnNb6Ga